This entry pairs a crystal structure of SmZrPaO6 with its theoretical XRD peak list. Radiation: Cu Kα (weighted mean of Kα1 and Kα2). Structure: DFT lattice parameters and positions (GGA-PBE).

Structure:
a = 5.1105 Å, b = 5.1105 Å, c = 10.4527 Å
α = 90.00°, β = 90.00°, γ = 90.00°
Space group P4_2nm (No. 102)
Symmetry-distinct sites (fractional):
1 Sm 0.0000 0.0000 0.0000 x2
2 Zr 0.0000 0.0000 0.6681 x2
3 Pa 0.0000 0.0000 0.3347 x2
4 O 0.1795 0.1795 0.5053 x4
5 O 0.1965 0.1965 0.8217 x4
6 O 0.2020 0.2020 0.1782 x4

Main lines, sorted by position (15 to 90 degrees two-theta):
| d [Å] | 2θ/deg | intensity |
| --- | --- | --- |
| 4.591 | 19.3 | 18 |
| 3.614 | 24.6 | 100 |
| 2.879 | 31.1 | 89 |
| 2.555 | 35.1 | 27 |
| 1.911 | 47.6 | 71 |
| 1.807 | 50.5 | 17 |
| 1.616 | 57.0 | 17 |
| 1.569 | 58.8 | 18 |
| 1.530 | 60.5 | 21 |
| 1.313 | 71.9 | 16 |